Simulated PXRD pattern of Na2MnPCO7 for Cu Kα (weighted mean of Kα1 and Kα2), from the PBE+U geometry in the Materials Project.
Lines closer than 0.1° are merged.

The 12 most intense peaks (2θ = 10–90°), most intense first:
34.39 deg, rel. 100, hkl 0 2 2
26.50 deg, rel. 99, hkl 2 0 0
16.51 deg, rel. 79, hkl 1 -1 1
25.99 deg, rel. 66, hkl 0 1 -3
33.38 deg, rel. 54, hkl 2 -2 2
54.57 deg, rel. 46, hkl 4 0 0
33.24 deg, rel. 37, hkl 2 0 2
19.93 deg, rel. 34, hkl 0 2 0
19.51 deg, rel. 31, hkl 0 0 2
26.63 deg, rel. 27, hkl 0 3 -1
33.05 deg, rel. 26, hkl 2 0 -2
24.02 deg, rel. 24, hkl 1 2 0

Structural model:
Cell lengths 6.7277, 10.2148, 10.4321 Å; angles 119.29, 90.12, 90.23 degrees
Space group P1 (No. 1)
One atom of each set of equivalent atoms:
1 Na 0.0000 0.0000 0.0000 x1
2 Na 0.9998 0.4833 0.4811 x1
3 Na 0.0137 0.9972 0.4845 x1
4 Na 0.4693 0.4817 0.9859 x1
5 Na 0.5003 0.9925 0.4802 x1
6 Na 0.5102 0.0007 0.0003 x1
7 Na 0.5112 0.4839 0.4812 x1
8 Na 0.7725 0.6440 0.8211 x1
9 Mn 0.2542 0.2808 0.1702 x1
10 Mn 0.2572 0.7763 0.6704 x1
11 Mn 0.7609 0.7010 0.2981 x1
12 Mn 0.7634 0.2111 0.8087 x1
13 P 0.2569 0.1331 0.7979 x1
14 P 0.2571 0.6391 0.3066 x1
15 P 0.7533 0.3486 0.1723 x1
16 P 0.7565 0.8514 0.6763 x1
17 C 0.2550 0.1650 0.3347 x1
18 C 0.2586 0.6672 0.8372 x1
19 C 0.7509 0.8149 0.1325 x1
20 C 0.7531 0.3221 0.6389 x1
21 O 0.0673 0.2032 0.7756 x1
22 O 0.0693 0.7221 0.3010 x1
23 O 0.2533 0.1279 0.9447 x1
24 O 0.2534 0.3108 0.3919 x1
25 O 0.2536 0.0951 0.1883 x1
26 O 0.2542 0.5927 0.6900 x1
27 O 0.2550 0.8137 0.8886 x1
28 O 0.2579 0.0956 0.4051 x1
29 O 0.2581 0.6278 0.4508 x1
30 O 0.2615 0.4731 0.1753 x1
31 O 0.2648 0.6039 0.9120 x1
32 O 0.2653 0.9652 0.6659 x1
33 O 0.4445 0.2157 0.7893 x1
34 O 0.4452 0.7212 0.2975 x1
35 O 0.5678 0.2689 0.1901 x1
36 O 0.5745 0.7672 0.6922 x1
37 O 0.7378 0.6707 0.0727 x1
38 O 0.7430 0.3583 0.0302 x1
39 O 0.7521 0.3914 0.7846 x1
40 O 0.7539 0.4012 0.5756 x1
41 O 0.7546 0.1778 0.5763 x1
42 O 0.7549 0.8836 0.0588 x1
43 O 0.7558 0.8588 0.5319 x1
44 O 0.7573 0.0181 0.8108 x1
45 O 0.7567 0.5152 0.3087 x1
46 O 0.7619 0.8860 0.2779 x1
47 O 0.9396 0.7681 0.6909 x1
48 O 0.9415 0.2684 0.1829 x1